Calculated XRD peak list of CoCuPtO4 for Cu Ka, from a GGA+U-relaxed structure.

The 10 most intense peaks (10 to 90 degrees two-theta), low angle first:
- 2θ = 18.56°, I = 1000
- 2θ = 30.87°, I = 246
- 2θ = 34.58°, I = 997
- 2θ = 35.37°, I = 552
- 2θ = 35.85°, I = 213
- 2θ = 36.00°, I = 357
- 2θ = 37.63°, I = 222
- 2θ = 42.81°, I = 301
- 2θ = 57.32°, I = 257
- 2θ = 62.07°, I = 431

Structure:
Cell lengths 5.9875, 5.9875, 5.9875 Å; angles 122.14, 117.92, 89.98 degrees
Fractional positions:
Co1 0.5000 0.0000 0.0000
Co2 0.5000 0.5000 0.5000
Cu1 0.1067 0.3567 0.7500
Cu2 0.8933 0.6433 0.2500
Pt1 0.0000 0.0000 0.0000
Pt2 0.5000 0.0000 0.5000
O1 0.2689 0.2525 0.4836
O2 0.2689 0.7853 0.0164
O3 0.2792 0.2419 0.0373
O4 0.2954 0.7581 0.5373
O5 0.7046 0.2419 0.4627
O6 0.7208 0.7581 0.9627
O7 0.7311 0.2147 0.9836
O8 0.7311 0.7475 0.5164